For Fe11Co5, a PBE-relaxed structure gives the calculated XRD peak list in this record (Cu Kα (λ = 1.5418 Å)).

The 2 most intense peaks (5° ≤ 2θ ≤ 70°), by angle:
| h k l | two_theta | Rel. int. |
| --- | --- | --- |
| 2 2 0 | 44.90 | 100 |
| 4 0 0 | 65.38 | 15 |

Structural model:
```
Fe11Co5
1.0
5.7117 0.0000 0.0000
0.0000 5.7117 0.0000
0.0000 0.0000 5.7059
Fe Co
11 5
Cartesian
0.0000 0.0000 0.0000
0.0000 0.0000 2.8529
1.4294 1.4294 1.4273
1.4294 1.4294 4.2786
1.4294 4.2823 1.4273
1.4294 4.2823 4.2786
2.8558 2.8558 0.0000
4.2823 1.4294 1.4273
4.2823 1.4294 4.2786
4.2823 4.2823 1.4273
4.2823 4.2823 4.2786
0.0000 2.8558 0.0000
0.0000 2.8558 2.8529
2.8558 0.0000 0.0000
2.8558 0.0000 2.8529
2.8558 2.8558 2.8529
```

For FeCo9, a PBE-relaxed structure gives the calculated XRD peak list in this record (Cu Kα (λ = 1.5418 Å)).

The 6 most intense peaks (5° ≤ 2θ ≤ 70°), by angle:
| h k l | two_theta | Rel. int. |
| --- | --- | --- |
| 2 0 0 | 34.64 | 57 |
| 0 0 2 | 37.00 | 29 |
| 2 1 0 | 38.88 | 31 |
| 1 0 2 | 41.03 | 29 |
| 2 2 0 | 49.80 | 50 |
| 2 0 2 | 51.58 | 100 |

Structural model:
```
FeCo9
1.0
5.1792 0.0000 0.0000
0.0000 5.1792 0.0000
0.0000 0.0000 4.8590
Fe Co
1 9
Cartesian
0.0000 0.0000 0.0000
0.0000 0.0000 2.4295
1.4551 1.4551 1.2155
1.4551 1.4551 3.6435
1.4551 3.7242 1.2155
1.4551 3.7242 3.6435
3.7242 1.4551 1.2155
3.7242 1.4551 3.6435
3.7242 3.7242 1.2155
3.7242 3.7242 3.6435
```